# CsCoP3O9
Theoretical X-ray powder pattern, Cu Kα, 1.54184 Å. Input: a cell relaxed with PBE+U.

Structure:
abc: 10.1759 10.1759 7.1456
angles: 90.00 90.00 120.00
Space group R3 (No. 146, hexagonal axes)
Asymmetric unit:
Cs  0.0000  0.0000  0.0000 [3 per cell]
Co  0.0000  0.0000  0.5026 [3 per cell]
P  0.0086  0.5728  0.9734 [9 per cell]
O  0.0216  0.6382  0.7637 [9 per cell]
O  0.0759  0.1925  0.3367 [9 per cell]
O  0.1861  0.1096  0.6726 [9 per cell]

Main lines, sorted by position (2θ from 5° to 70°):
h k l  Position (°2θ)  d_spacing  I/Imax
1 1 0  17.4  5.088  100
0 2 1  23.7  3.751  47
0 1 2  26.9  3.311  19
3 0 0  30.4  2.938  33
2 0 2  32.3  2.775  54
2 2 0  35.3  2.544  19
1 2 2  36.9  2.436  28
4 -3 1  38.9  2.313  15
4 -1 2  44.9  2.017  31
2 3 2  52.0  1.760  12
0 2 4  55.5  1.656  12
2 5 0  66.2  1.411  13